Starting from a DFT-relaxed cell (PBE, the Materials Project), the powder diffractogram of Na3ZrGaSi2SO12 was calculated for a wavelength of 1.5418 Å.
No peak broadening, texture or thermal motion is included.

Structural model:
```
data_Na3ZrGaSi2SO12
_symmetry_space_group_name_H-M 'C 1 c 1'
_symmetry_Int_Tables_number 9
_symmetry_space_group_name_Hall 'C -2yc'
_cell_length_a 15.7202
_cell_length_b 9.0369
_cell_length_c 9.0585
_cell_angle_alpha 90.00
_cell_angle_beta 123.77
_cell_angle_gamma 90.00
loop_
_atom_site_label
_atom_site_type_symbol
_atom_site_fract_x
_atom_site_fract_y
_atom_site_fract_z
Na1 Na 0.0000 0.0626 0.0000
Na2 Na 0.0728 0.2358 0.7420
Na3 Na 0.1319 0.4283 0.4910
Zr1 Zr 0.4007 0.2593 0.7838
Ga1 Ga 0.2031 0.2449 0.1670
Si1 Si 0.1566 0.0964 0.4617
Si2 Si 0.2950 0.4559 0.9686
S1 S 0.4489 0.1064 0.4689
O1 O 0.0337 0.3212 0.9689
O2 O 0.0616 0.1838 0.4599
O3 O 0.1478 0.0814 0.9844
O4 O 0.1483 0.1348 0.2776
O5 O 0.2173 0.3559 0.9951
O6 O 0.2245 0.4367 0.2955
O7 O 0.2607 0.1727 0.6298
O8 O 0.3527 0.1672 0.3156
O9 O 0.3750 0.4431 0.6450
O10 O 0.3800 0.3544 0.9618
O11 O 0.4582 0.1317 0.6389
O12 O 0.4587 0.0560 0.9558
```

Largest 6 diffraction maxima, in order of rising 2θ, 15° ≤ 2θ ≤ 90°:
| (hkl) | 2θ/deg | I/Imax |
| --- | --- | --- |
| 1 1 1 | 19.25 | 38.5 |
| 2 0 -2 | 19.61 | 100.0 |
| 3 1 1 | 30.50 | 51.1 |
| 0 2 2 | 30.92 | 38.1 |
| 3 1 -3 | 31.24 | 32.8 |
| 3 3 -1 | 34.34 | 38.3 |